Diffraction record for LiFePO4. The powder XRD pattern is calculated, not measured: it uses a GGA+U-relaxed structure and λ = 1.5418 Å (Cu Kα).
Intensities are scaled so that the largest is 100.

Largest 8 diffraction maxima, low angle first, 2θ = 10–90°:
| Position (°2θ) | I_rel | hkl |
| --- | --- | --- |
| 19.9 | 100 | 1 1 1 |
| 29.9 | 47 | 1 1 -3 |
| 32.3 | 26 | 2 0 -2 |
| 33.5 | 23 | 0 3 2 |
| 33.6 | 64 | 1 3 1 |
| 34.7 | 32 | 0 0 4 |
| 40.4 | 24 | 2 2 2 |
| 53.3 | 26 | 3 3 -1 |

a b c (Å): 6.195 9.393 10.400
angles (deg): 90.00 95.90 90.00
Space group P2_1/c (No. 14)
One atom of each set of equivalent atoms:
1 Li 0.124 0.062 0.340 (multiplicity 4)
2 Li 0.374 0.562 0.599 (multiplicity 4)
3 Fe 0.128 0.689 0.375 (multiplicity 4)
4 Fe 0.370 0.166 0.622 (multiplicity 4)
5 P 0.122 0.125 0.877 (multiplicity 4)
6 P 0.375 0.631 0.129 (multiplicity 4)
7 O 0.079 0.528 0.652 (multiplicity 4)
8 O 0.109 0.225 0.997 (multiplicity 4)
9 O 0.141 0.229 0.760 (multiplicity 4)
10 O 0.174 0.533 0.112 (multiplicity 4)
11 O 0.318 0.023 0.903 (multiplicity 4)
12 O 0.375 0.729 0.250 (multiplicity 4)
13 O 0.385 0.734 0.010 (multiplicity 4)
14 O 0.430 0.027 0.360 (multiplicity 4)

Diffraction record for Li3Fe2P3O12. The powder XRD pattern is calculated, not measured: it uses a GGA+U-relaxed structure and λ = 1.5418 Å (Cu Kα).
Intensities are scaled so that the largest is 100.

Largest 8 diffraction maxima, low angle first, 2θ = 10–90°:
| Position (°2θ) | I_rel | hkl |
| --- | --- | --- |
| 14.3 | 47 | 1 1 0 |
| 14.5 | 100 | 1 0 1 |
| 19.7 | 96 | 1 0 -1 |
| 24.1 | 90 | -1 1 1 |
| 24.3 | 56 | 1 2 2 |
| 29.2 | 62 | 2 0 2 |
| 31.6 | 55 | 1 -1 2 |
| 32.0 | 47 | 1 2 3 |

a b c (Å): 8.395 8.428 8.941
angles (deg): 62.85 62.66 60.13
Space group P-1 (No. 2)
One atom of each set of equivalent atoms:
1 Li 0.167 0.261 0.141 (multiplicity 2)
2 Li 0.239 0.090 0.784 (multiplicity 2)
3 Li 0.323 0.581 0.364 (multiplicity 2)
4 Fe 0.146 0.650 0.064 (multiplicity 2)
5 Fe 0.346 0.852 0.462 (multiplicity 2)
6 P 0.047 0.966 0.242 (multiplicity 2)
7 P 0.253 0.458 0.742 (multiplicity 2)
8 P 0.460 0.251 0.252 (multiplicity 2)
9 O 0.050 0.111 0.054 (multiplicity 2)
10 O 0.121 0.367 0.760 (multiplicity 2)
11 O 0.136 0.759 0.233 (multiplicity 2)
12 O 0.164 0.000 0.638 (multiplicity 2)
13 O 0.168 0.999 0.307 (multiplicity 2)
14 O 0.187 0.499 0.918 (multiplicity 2)
15 O 0.228 0.647 0.588 (multiplicity 2)
16 O 0.266 0.381 0.212 (multiplicity 2)
17 O 0.368 0.725 0.913 (multiplicity 2)
18 O 0.460 0.303 0.398 (multiplicity 2)
19 O 0.466 0.318 0.707 (multiplicity 2)
20 O 0.483 0.038 0.311 (multiplicity 2)

Repeat the first record exactly.
Diffraction record for LiFePO4. The powder XRD pattern is calculated, not measured: it uses a GGA+U-relaxed structure and λ = 1.5418 Å (Cu Kα).
Intensities are scaled so that the largest is 100.

Largest 8 diffraction maxima, low angle first, 2θ = 10–90°:
| Position (°2θ) | I_rel | hkl |
| --- | --- | --- |
| 19.9 | 100 | 1 1 1 |
| 29.9 | 47 | 1 1 -3 |
| 32.3 | 26 | 2 0 -2 |
| 33.5 | 23 | 0 3 2 |
| 33.6 | 64 | 1 3 1 |
| 34.7 | 32 | 0 0 4 |
| 40.4 | 24 | 2 2 2 |
| 53.3 | 26 | 3 3 -1 |

a b c (Å): 6.195 9.393 10.400
angles (deg): 90.00 95.90 90.00
Space group P2_1/c (No. 14)
One atom of each set of equivalent atoms:
1 Li 0.124 0.062 0.340 (multiplicity 4)
2 Li 0.374 0.562 0.599 (multiplicity 4)
3 Fe 0.128 0.689 0.375 (multiplicity 4)
4 Fe 0.370 0.166 0.622 (multiplicity 4)
5 P 0.122 0.125 0.877 (multiplicity 4)
6 P 0.375 0.631 0.129 (multiplicity 4)
7 O 0.079 0.528 0.652 (multiplicity 4)
8 O 0.109 0.225 0.997 (multiplicity 4)
9 O 0.141 0.229 0.760 (multiplicity 4)
10 O 0.174 0.533 0.112 (multiplicity 4)
11 O 0.318 0.023 0.903 (multiplicity 4)
12 O 0.375 0.729 0.250 (multiplicity 4)
13 O 0.385 0.734 0.010 (multiplicity 4)
14 O 0.430 0.027 0.360 (multiplicity 4)